Mn2CuOsO8: calculated PXRD pattern (Cu Kα X-rays), based on a crystal structure in Alexandria, relaxed with GGA+U.
Lines closer than 0.1° are merged.

Top 10 peaks for 10° ≤ 2θ ≤ 80°, in order of rising 2θ:
2theta	I (rel.)
19.0	69.0
19.6	26.9
27.9	96.3
32.7	100.0
39.8	17.3
52.5	66.9
53.3	16.7
57.6	16.5
61.3	25.4
67.9	18.0

Cell lengths 5.6803, 5.6803, 5.6803 Å; angles 111.41, 111.41, 105.65 degrees
Positions (direct):
Mn 0.0000 0.0000 0.0000
Mn 0.7500 0.2500 0.5000
Cu 0.5000 0.5000 0.0000
Os 0.2500 0.7500 0.5000
O 0.0350 0.8100 0.2250
O 0.1449 0.4568 0.6881
O 0.1900 0.4150 0.2250
O 0.1900 0.9650 0.7750
O 0.5432 0.2313 0.6881
O 0.5432 0.8551 0.3119
O 0.5850 0.8100 0.7750
O 0.7687 0.4568 0.3119